Diffraction record for RbCo4Cl8. The X-ray diffraction stick pattern is computed, not measured: it uses a GGA-PBE-relaxed structure and Cu Kα.

a b c (Å): 6.4822 6.4822 9.8562
angles (deg): 90.00 90.00 120.00
Element x y z (fractional)
Rb (0.0000, 0.0000, 0.0000)
Co (0.3333, 0.6667, 0.2331)
Co (0.3333, 0.6667, 0.7669)
Co (0.6667, 0.3333, 0.2331)
Co (0.6667, 0.3333, 0.7669)
Cl (0.0000, 0.3414, 0.6926)
Cl (0.0000, 0.6586, 0.3074)
Cl (0.3333, 0.6667, 0.0000)
Cl (0.3414, 0.0000, 0.6926)
Cl (0.3414, 0.3414, 0.3074)
Cl (0.6586, 0.0000, 0.3074)
Cl (0.6586, 0.6586, 0.6926)
Cl (0.6667, 0.3333, 0.0000)

Top 10 peaks for 10° ≤ 2θ ≤ 90°, sorted by position:
15.79 deg, I 19
18.00 deg, I 43
24.03 deg, I 61
27.52 deg, I 63
29.00 deg, I 100
46.28 deg, I 53
46.60 deg, I 19
48.66 deg, I 50
54.48 deg, I 28
62.30 deg, I 20